No. 1
Theoretical X-ray powder pattern of Na2BF4 for a wavelength of 1.5418 Å, from DFT lattice parameters and positions (PBE).

Structural model:
```
7
Lattice="-2.841 2.841 4.073 2.841 -2.841 4.073 2.841 2.841 -4.073" Properties=species:S:1:pos:R:3 pbc="T T T"
Na 2.841 0.000 2.036
Na 0.000 2.841 2.036
B 0.000 0.000 0.000
F 2.018 -2.018 3.247
F 0.823 0.823 0.825
F -2.018 2.018 3.247
F 2.018 2.018 4.898
```

Top 10 peaks for 10° ≤ 2θ ≤ 90°, in order of rising 2θ:
| Position (°2θ) | Rel. int. |
| --- | --- |
| 19.0 | 100 |
| 31.3 | 73 |
| 37.1 | 17 |
| 38.6 | 13 |
| 49.1 | 17 |
| 50.2 | 13 |
| 50.7 | 15 |
| 50.8 | 18 |
| 55.5 | 9 |
| 55.9 | 9 |



No. 2
Theoretical X-ray powder pattern of NaBF for a wavelength of 1.5418 Å, from DFT lattice parameters and positions (PBE).

Structural model:
```
6
Lattice="0.000 3.302 5.226 2.169 0.000 5.226 2.169 3.302 0.000" Properties=species:S:1:pos:R:3 pbc="T T T"
Na 0.000 0.000 0.000
Na 2.169 3.302 2.945
B 2.169 2.367 6.663
B 2.169 4.238 6.663
F 2.169 2.158 5.150
F 2.169 4.446 5.150
```

Top 10 peaks for 10° ≤ 2θ ≤ 90°, in order of rising 2θ:
| Position (°2θ) | Rel. int. |
| --- | --- |
| 17.0 | 100 |
| 26.0 | 26 |
| 34.3 | 43 |
| 35.7 | 49 |
| 41.6 | 60 |
| 47.1 | 82 |
| 52.5 | 14 |
| 53.6 | 49 |
| 55.0 | 19 |
| 80.9 | 23 |



No. 3
Theoretical X-ray powder pattern of Na3B2PO5F4 for a wavelength of 1.5418 Å, from DFT lattice parameters and positions (PBE).

Structural model:
```
30
Lattice="9.117 0.000 0.000 0.000 3.420 6.209 0.000 -3.420 6.209" Properties=species:S:1:pos:R:3 pbc="T T T"
Na 0.000 0.000 0.000
Na 0.000 0.000 3.630
Na 0.000 0.000 8.456
Na 4.558 0.000 0.000
Na 4.558 0.000 3.630
Na 4.558 0.000 8.456
B 2.279 -1.825 4.694
B 2.279 0.472 5.834
B 6.838 -0.472 5.834
B 6.838 1.825 4.694
P 2.279 -1.775 7.457
P 6.838 1.775 7.457
O 0.980 -2.134 8.142
O 2.279 -2.477 6.015
O 2.279 -0.410 4.709
O 2.279 -0.202 7.161
O 3.579 -2.134 8.142
O 5.538 2.134 8.142
O 6.838 0.410 4.709
O 6.838 0.202 7.161
O 6.838 2.477 6.015
O 8.137 2.134 8.142
F 1.114 1.326 5.787
F 1.117 1.094 10.187
F 3.444 1.326 5.787
F 3.442 1.094 10.187
F 5.672 -1.326 5.787
F 5.675 -1.094 10.187
F 8.003 -1.326 5.787
F 8.000 -1.094 10.187
```

Top 10 peaks for 10° ≤ 2θ ≤ 90°, in order of rising 2θ:
| Position (°2θ) | Rel. int. |
| --- | --- |
| 17.7 | 85 |
| 24.2 | 33 |
| 27.0 | 100 |
| 27.9 | 30 |
| 32.0 | 22 |
| 32.7 | 22 |
| 39.1 | 19 |
| 45.4 | 36 |
| 47.4 | 37 |
| 48.0 | 20 |



No. 4
Theoretical X-ray powder pattern of Na3B2PO5F4 for a wavelength of 1.5418 Å, from DFT lattice parameters and positions (PBE).

Structural model:
```
60
Lattice="6.604 0.000 0.000 0.000 12.332 0.000 -4.703 0.000 8.779" Properties=species:S:1:pos:R:3 pbc="T T T"
Na -1.032 1.731 4.019
Na -3.384 4.436 8.409
Na -2.817 1.020 7.362
Na -0.465 5.146 2.972
Na 0.032 8.991 3.603
Na -2.320 9.507 7.993
Na 4.221 2.825 0.787
Na 1.870 3.341 5.176
Na 2.366 7.186 5.807
Na 4.718 11.312 1.417
Na 5.285 7.897 0.371
Na 2.933 10.602 4.760
B 1.567 6.977 1.141
B -0.785 11.521 5.531
B -1.016 6.810 6.127
B 1.336 11.688 1.738
B 0.565 0.644 7.042
B 2.917 5.522 2.652
B 2.686 0.811 3.248
B 0.334 5.355 7.638
P 0.932 2.005 1.674
P -1.419 4.162 6.064
P 3.320 8.171 2.716
P 0.969 10.328 7.105
O -0.265 2.898 1.903
O -2.617 3.268 6.293
O 0.429 0.499 1.495
O -1.923 5.667 5.885
O 1.858 2.389 0.535
O -0.494 3.777 4.924
O -0.300 0.473 5.908
O 2.052 5.693 1.518
O 2.504 8.093 1.328
O 0.152 10.405 5.718
O 1.749 1.927 3.062
O -0.603 4.239 7.451
O -0.151 6.639 7.262
O 2.201 11.859 2.872
O 2.395 8.555 3.855
O 0.043 9.943 8.245
O 3.824 6.665 2.895
O 1.472 11.833 7.285
O 4.518 9.064 2.487
O 2.166 9.434 6.877
F -3.537 6.984 8.541
F -1.185 11.515 4.151
F 0.322 7.277 1.894
F -2.029 11.221 6.283
F -1.858 7.960 6.274
F 0.493 10.538 1.884
F -0.212 7.044 4.926
F 2.139 11.454 0.536
F -0.238 0.878 8.244
F 2.113 5.288 3.854
F 1.408 1.794 6.896
F 3.759 4.372 2.506
F 3.930 1.111 2.496
F 1.579 5.055 6.886
F 3.087 0.817 4.628
F 5.438 5.349 0.238
```

Top 10 peaks for 10° ≤ 2θ ≤ 90°, in order of rising 2θ:
| Position (°2θ) | Rel. int. |
| --- | --- |
| 17.6 | 32 |
| 18.7 | 24 |
| 20.2 | 24 |
| 23.7 | 25 |
| 29.8 | 51 |
| 30.7 | 100 |
| 31.0 | 30 |
| 32.3 | 40 |
| 42.6 | 59 |
| 50.9 | 25 |



No. 5
Theoretical X-ray powder pattern of NaZnBF6 for a wavelength of 1.5418 Å, from DFT lattice parameters and positions (PBE).

Structural model:
```
9
Lattice="4.312 0.000 0.000 0.035 5.031 0.000 2.152 0.024 6.079" Properties=species:S:1:pos:R:3 pbc="T T T"
Na 0.000 0.000 0.000
Zn 4.318 2.539 4.039
B 2.161 2.527 1.555
F 1.230 3.251 2.363
F 1.469 1.597 0.755
F 3.189 3.885 4.518
F 3.091 1.813 2.371
F 2.853 3.452 0.747
F 5.442 1.195 4.530
```

Top 10 peaks for 10° ≤ 2θ ≤ 90°, in order of rising 2θ:
| Position (°2θ) | Rel. int. |
| --- | --- |
| 14.6 | 26 |
| 17.6 | 100 |
| 21.9 | 37 |
| 22.9 | 61 |
| 28.1 | 77 |
| 28.3 | 40 |
| 30.3 | 60 |
| 35.2 | 70 |
| 42.4 | 22 |
| 47.4 | 22 |



Repeat the third record exactly.
Theoretical X-ray powder pattern of Na3B2PO5F4 for a wavelength of 1.5418 Å, from DFT lattice parameters and positions (PBE).

Structural model:
```
30
Lattice="9.117 0.000 0.000 0.000 3.420 6.209 0.000 -3.420 6.209" Properties=species:S:1:pos:R:3 pbc="T T T"
Na 0.000 0.000 0.000
Na 0.000 0.000 3.630
Na 0.000 0.000 8.456
Na 4.558 0.000 0.000
Na 4.558 0.000 3.630
Na 4.558 0.000 8.456
B 2.279 -1.825 4.694
B 2.279 0.472 5.834
B 6.838 -0.472 5.834
B 6.838 1.825 4.694
P 2.279 -1.775 7.457
P 6.838 1.775 7.457
O 0.980 -2.134 8.142
O 2.279 -2.477 6.015
O 2.279 -0.410 4.709
O 2.279 -0.202 7.161
O 3.579 -2.134 8.142
O 5.538 2.134 8.142
O 6.838 0.410 4.709
O 6.838 0.202 7.161
O 6.838 2.477 6.015
O 8.137 2.134 8.142
F 1.114 1.326 5.787
F 1.117 1.094 10.187
F 3.444 1.326 5.787
F 3.442 1.094 10.187
F 5.672 -1.326 5.787
F 5.675 -1.094 10.187
F 8.003 -1.326 5.787
F 8.000 -1.094 10.187
```

Top 10 peaks for 10° ≤ 2θ ≤ 90°, in order of rising 2θ:
| Position (°2θ) | Rel. int. |
| --- | --- |
| 17.7 | 85 |
| 24.2 | 33 |
| 27.0 | 100 |
| 27.9 | 30 |
| 32.0 | 22 |
| 32.7 | 22 |
| 39.1 | 19 |
| 45.4 | 36 |
| 47.4 | 37 |
| 48.0 | 20 |